Diffraction record for Nd5Ni2Sb. The powder XRD pattern is simulated, not measured: it uses a structure optimized by DFT (PBE) and CuKα.
Lines closer than 0.1° are merged.

Top 10 peaks for 10 to 90 degrees two-theta, by intensity:
| d [Å] | 2θ (°) | Rel. int. | index |
| --- | --- | --- | --- |
| 2.798 | 31.98 | 100.0 | 2 1 3 |
| 2.525 | 35.56 | 70.1 | 3 1 0 |
| 2.579 | 34.78 | 40.6 | 2 0 4 |
| 2.900 | 30.84 | 33.3 | 1 1 4 |
| 3.452 | 25.81 | 28.8 | 2 1 1 |
| 1.644 | 55.93 | 24.1 | 3 3 4 |
| 1.404 | 66.59 | 18.0 | 3 1 8 |
| 1.408 | 66.38 | 15.6 | 5 2 3 |
| 2.823 | 31.70 | 14.3 | 2 2 0 |
| 2.155 | 41.91 | 14.3 | 2 1 5 |

Crystal structure
```
data_Nd5Ni2Sb
_chemical_formula_sum 'Nd20 Ni8 Sb4'
_cell_length_a 7.984
_cell_length_b 7.984
_cell_length_c 13.519
_cell_angle_alpha 90.00
_cell_angle_beta 90.00
_cell_angle_gamma 90.00
_space_group_name_H-M_alt 'I 4/m c m'
_space_group_IT_number 140
_space_group_name_Hall '-I 4 2c'
loop_
_atom_site_label
_atom_site_fract_x
_atom_site_fract_y
_atom_site_fract_z
Nd1 0.000 0.000 0.000
Nd2 0.157 0.343 0.138
Ni1 0.127 0.373 0.500
Sb1 0.000 0.000 0.250
```


Diffraction record for Ce2Si7Rh12. The powder XRD pattern is simulated, not measured: it uses a structure optimized by DFT (PBE) and CuKα.
Lines closer than 0.1° are merged.

Top 10 peaks for 10 to 90 degrees two-theta, by intensity:
| d [Å] | 2θ (°) | Rel. int. | index |
| --- | --- | --- | --- |
| 2.465 | 36.45 | 100.0 | 2 1 1 |
| 1.931 | 47.06 | 15.6 | 0 0 2 |
| 3.201 | 27.87 | 14.3 | 2 1 0 |
| 1.848 | 49.30 | 14.1 | 1 4 0 |
| 1.943 | 46.75 | 12.9 | 3 2 0 |
| 1.194 | 80.40 | 11.3 | 3 -2 3 |
| 2.445 | 36.76 | 9.0 | 2 2 0 |
| 2.007 | 45.18 | 8.9 | 4 -1 1 |
| 1.335 | 70.53 | 8.4 | 5 -1 2 |
| 1.155 | 83.77 | 7.3 | 5 3 1 |

Crystal structure
```
data_Ce2Si7Rh12
_chemical_formula_sum 'Ce2 Si7 Rh12'
_cell_length_a 9.7807
_cell_length_b 9.7807
_cell_length_c 3.8618
_cell_angle_alpha 90.00
_cell_angle_beta 90.00
_cell_angle_gamma 120.00
_space_group_name_H-M_alt 'P -3'
_space_group_IT_number 147
loop_
_space_group_symop_operation_xyz
'x,y,z'
'-x,-y,-z'
'-y,x-y,z'
'y,-x+y,-z'
'-x+y,-x,z'
'x-y,x,-z'
loop_
_atom_site_label
_atom_site_fract_x
_atom_site_fract_y
_atom_site_fract_z
Ce1 0.3333 0.6667 0.2519
Si1 0.0000 0.0000 0.5000
Si2 0.1060 0.7090 0.7510
Rh1 0.0664 0.4454 0.7518
Rh2 0.1216 0.2621 0.2543
```


Diffraction record for SrMn4Sb12. The powder XRD pattern is simulated, not measured: it uses a structure optimized by DFT (PBE) and CuKα.
Lines closer than 0.1° are merged.

Top 10 peaks for 10 to 90 degrees two-theta, by intensity:
| d [Å] | 2θ (°) | Rel. int. | index |
| --- | --- | --- | --- |
| 2.961 | 30.18 | 100.0 | 3 0 1 |
| 2.503 | 35.88 | 43.5 | 3 1 2 |
| 1.837 | 49.64 | 23.9 | 4 3 1 |
| 1.912 | 47.57 | 18.7 | 4 2 2 |
| 1.381 | 67.88 | 18.2 | 6 1 3 |
| 1.606 | 57.37 | 16.5 | 5 3 0 |
| 2.094 | 43.20 | 14.8 | 4 2 0 |
| 1.104 | 88.62 | 12.4 | 6 6 0 |
| 1.561 | 59.20 | 11.5 | 6 0 0 |
| 1.230 | 77.65 | 8.0 | 7 3 0 |

Crystal structure
```
data_SrMn4Sb12
_chemical_formula_sum 'Sr2 Mn8 Sb24'
_cell_length_a 9.365
_cell_length_b 9.365
_cell_length_c 9.365
_cell_angle_alpha 90.00
_cell_angle_beta 90.00
_cell_angle_gamma 90.00
_space_group_name_H-M_alt 'I m -3'
_space_group_IT_number 204
_space_group_name_Hall '-I 2 2 3'
loop_
_atom_site_label
_atom_site_fract_x
_atom_site_fract_y
_atom_site_fract_z
Sr1 0.000 0.000 0.000
Mn1 0.250 0.250 0.250
Sb1 0.000 0.337 0.160
```


Diffraction record for Pr5Sm6Tl. The powder XRD pattern is simulated, not measured: it uses a structure optimized by DFT (PBE) and CuKα.
Lines closer than 0.1° are merged.

Top 10 peaks for 10 to 90 degrees two-theta, by intensity:
| d [Å] | 2θ (°) | Rel. int. | index |
| --- | --- | --- | --- |
| 2.960 | 30.20 | 100.0 | 1 3 1 |
| 2.572 | 34.89 | 33.9 | 0 6 0 |
| 1.549 | 59.68 | 28.5 | 1 9 1 |
| 1.810 | 50.43 | 23.9 | 2 6 -2 |
| 2.547 | 35.24 | 16.6 | 2 0 -2 |
| 1.538 | 60.15 | 14.2 | 5 3 -3 |
| 1.480 | 62.79 | 12.3 | 2 6 2 |
| 1.818 | 50.17 | 12.0 | 4 6 0 |
| 1.175 | 82.00 | 5.8 | 1 9 -3 |
| 1.174 | 82.10 | 5.8 | 5 9 -3 |

Crystal structure
```
data_Pr5Sm6Tl
_chemical_formula_sum 'Pr10 Sm12 Tl2'
_cell_length_a 11.470
_cell_length_b 15.431
_cell_length_c 5.093
_cell_angle_alpha 90.00
_cell_angle_beta 116.26
_cell_angle_gamma 90.00
_space_group_name_H-M_alt 'C 1 2/m 1'
_space_group_IT_number 12
loop_
_space_group_symop_operation_xyz
'x,y,z'
'-x,-y,-z'
'-x,y,-z'
'x,-y,z'
'x+1/2,y+1/2,z'
'-x+1/2,-y+1/2,-z'
'-x+1/2,y+1/2,-z'
'x+1/2,-y+1/2,z'
loop_
_atom_site_label
_atom_site_fract_x
_atom_site_fract_y
_atom_site_fract_z
Pr1 0.000 0.000 0.000
Pr2 0.000 0.163 0.500
Pr3 0.000 0.332 0.000
Sm1 0.244 0.336 0.744
Sm2 0.244 0.500 0.244
Tl1 0.000 0.500 0.500
```


Diffraction record for Na2HgTeO4. The powder XRD pattern is simulated, not measured: it uses a structure optimized by DFT (PBE) and CuKα.
Lines closer than 0.1° are merged.

Top 10 peaks for 10 to 90 degrees two-theta, by intensity:
| d [Å] | 2θ (°) | Rel. int. | index |
| --- | --- | --- | --- |
| 5.598 | 15.83 | 100.0 | 1 1 -1 |
| 2.845 | 31.44 | 64.9 | 2 2 0 |
| 2.799 | 31.98 | 61.0 | 2 2 -2 |
| 5.690 | 15.57 | 47.4 | 1 1 0 |
| 2.591 | 34.62 | 46.7 | 0 4 0 |
| 2.487 | 36.11 | 43.5 | 0 0 2 |
| 2.284 | 39.46 | 34.0 | 4 0 -2 |
| 1.794 | 50.89 | 29.6 | 0 4 2 |
| 3.066 | 29.13 | 27.3 | 1 3 -1 |
| 3.006 | 29.72 | 25.8 | 1 1 1 |

Crystal structure
```
data_Na2HgTeO4
_chemical_formula_sum 'Na8 Hg4 Te4 O16'
_cell_length_a 9.137
_cell_length_b 10.365
_cell_length_c 6.676
_cell_angle_alpha 90.00
_cell_angle_beta 131.83
_cell_angle_gamma 90.00
_space_group_name_H-M_alt 'C 1 2/c 1'
_space_group_IT_number 15
loop_
_space_group_symop_operation_xyz
'x,y,z'
'-x,-y,-z'
'-x,y,-z+1/2'
'x,-y,z+1/2'
'x+1/2,y+1/2,z'
'-x+1/2,-y+1/2,-z'
'-x+1/2,y+1/2,-z+1/2'
'x+1/2,-y+1/2,z+1/2'
loop_
_atom_site_label
_atom_site_fract_x
_atom_site_fract_y
_atom_site_fract_z
Na1 0.000 0.000 0.000
Na2 0.250 0.250 0.000
Hg1 0.250 0.250 0.500
Te1 0.000 0.500 0.000
O1 0.028 0.287 0.521
O2 0.225 0.488 0.963
```